1.
Rb2BiSBr3: theoretical X-ray powder pattern (Cu Kα (λ = 1.5418 Å)), based on a crystal structure in Alexandria, relaxed with PBE.
Lines closer than 0.1° are merged.

Peak list (6 most intense, 2θ from 10° to 80°, by intensity)
d (Å), 2θ (°), I (rel.)
3.960, 22.45, 100
2.922, 30.60, 73
8.782, 10.07, 59
1.981, 45.81, 47
2.942, 30.38, 45
5.151, 17.21, 37

Structure:
abc: 9.6381 9.6381 9.6381
angles: 147.54 144.75 48.67
Positions (direct):
Rb 0.1349 0.1349 0.0000
Rb 0.8651 0.8651 0.0000
Bi 0.5000 0.5000 0.0000
S 0.5000 0.0000 0.5000
Br 0.0000 0.5000 0.5000
Br 0.3324 0.3324 0.0000
Br 0.6676 0.6676 0.0000

2.
K2RbNa5Hg2: theoretical X-ray powder pattern (Cu Kα (λ = 1.5418 Å)), based on a crystal structure in Alexandria, relaxed with PBE.
Lines closer than 0.1° are merged.

Peak list (6 most intense, 2θ from 10° to 80°, by intensity)
d (Å), 2θ (°), I (rel.)
3.171, 28.14, 100
5.780, 15.33, 99
2.919, 30.63, 87
5.028, 17.64, 62
4.087, 21.74, 58
2.718, 32.95, 43

Structure:
abc: 12.9248 12.9248 5.0275
angles: 90.00 90.00 90.00
Positions (direct):
K 0.1715 0.3285 0.0000
K 0.3285 0.8285 0.0000
K 0.6715 0.1715 0.0000
K 0.8285 0.6715 0.0000
Rb 0.0000 0.0000 0.0000
Rb 0.5000 0.5000 0.0000
Na 0.0000 0.5000 0.5000
Na 0.0748 0.7664 0.5000
Na 0.2336 0.0748 0.5000
Na 0.2664 0.5748 0.5000
Na 0.4252 0.2664 0.5000
Na 0.5000 0.0000 0.5000
Na 0.5748 0.7336 0.5000
Na 0.7336 0.4252 0.5000
Na 0.7664 0.9252 0.5000
Na 0.9252 0.2336 0.5000
Hg 0.1197 0.6197 0.0000
Hg 0.3803 0.1197 0.0000
Hg 0.6197 0.8803 0.0000
Hg 0.8803 0.3803 0.0000

What did the first record say?
Rb2BiSBr3: theoretical X-ray powder pattern (Cu Kα (λ = 1.5418 Å)), based on a crystal structure in Alexandria, relaxed with PBE.
Lines closer than 0.1° are merged.

Peak list (6 most intense, 2θ from 10° to 80°, by intensity)
d (Å), 2θ (°), I (rel.)
3.960, 22.45, 100
2.922, 30.60, 73
8.782, 10.07, 59
1.981, 45.81, 47
2.942, 30.38, 45
5.151, 17.21, 37

Structure:
abc: 9.6381 9.6381 9.6381
angles: 147.54 144.75 48.67
Positions (direct):
Rb 0.1349 0.1349 0.0000
Rb 0.8651 0.8651 0.0000
Bi 0.5000 0.5000 0.0000
S 0.5000 0.0000 0.5000
Br 0.0000 0.5000 0.5000
Br 0.3324 0.3324 0.0000
Br 0.6676 0.6676 0.0000

Please write out number 1 again, unchanged.
Rb2BiSBr3: theoretical X-ray powder pattern (Cu Kα (λ = 1.5418 Å)), based on a crystal structure in Alexandria, relaxed with PBE.
Lines closer than 0.1° are merged.

Peak list (6 most intense, 2θ from 10° to 80°, by intensity)
d (Å), 2θ (°), I (rel.)
3.960, 22.45, 100
2.922, 30.60, 73
8.782, 10.07, 59
1.981, 45.81, 47
2.942, 30.38, 45
5.151, 17.21, 37

Structure:
abc: 9.6381 9.6381 9.6381
angles: 147.54 144.75 48.67
Positions (direct):
Rb 0.1349 0.1349 0.0000
Rb 0.8651 0.8651 0.0000
Bi 0.5000 0.5000 0.0000
S 0.5000 0.0000 0.5000
Br 0.0000 0.5000 0.5000
Br 0.3324 0.3324 0.0000
Br 0.6676 0.6676 0.0000